# NpNi7Sb2As2
Theoretical powder XRD pattern, a wavelength of 1.5418 Å. Input: the GGA-PBE geometry in Alexandria.
Intensities are scaled so that the largest is 100.

Main lines, sorted by position (15 to 90 degrees two-theta):
2θ (°)	I_rel
28.5	100.0
30.9	42.5
34.0	66.6
36.3	46.2
39.0	70.5
42.5	58.1
46.6	75.5
48.9	87.6

Cell and atoms:
a b c (Å): 3.725 3.725 14.703
angles (deg): 97.19 97.19 89.98
Fractional coordinates of all 12 atoms:
Np (0.000, 0.000, 0.000)
Ni (0.067, 0.567, 0.137)
Ni (0.301, 0.301, 0.603)
Ni (0.433, 0.933, 0.863)
Ni (0.500, 0.500, 0.000)
Ni (0.567, 0.067, 0.137)
Ni (0.699, 0.699, 0.397)
Ni (0.933, 0.433, 0.863)
Sb (0.212, 0.212, 0.425)
Sb (0.788, 0.788, 0.575)
As (0.383, 0.383, 0.763)
As (0.617, 0.617, 0.237)

# Ag3Ge2Te4
Theoretical powder XRD pattern, a wavelength of 1.5418 Å. Input: the GGA-PBE geometry in Alexandria.
Intensities are scaled so that the largest is 100.

Main lines, sorted by position (15 to 90 degrees two-theta):
2θ (°)	I_rel
26.0	100.0
29.9	80.3
30.4	81.1
38.1	49.7
40.5	80.1
41.9	41.8
43.2	94.7
49.5	24.2

Cell and atoms:
a b c (Å): 8.398 8.398 6.882
angles (deg): 93.72 93.72 88.73
Fractional coordinates of all 18 atoms:
Ag (0.008, 0.263, 0.576)
Ag (0.233, 0.767, 0.750)
Ag (0.263, 0.008, 0.076)
Ag (0.737, 0.992, 0.924)
Ag (0.767, 0.233, 0.250)
Ag (0.992, 0.737, 0.424)
Ge (0.234, 0.494, 0.085)
Ge (0.494, 0.234, 0.585)
Ge (0.506, 0.766, 0.415)
Ge (0.766, 0.506, 0.915)
Te (0.013, 0.247, 0.989)
Te (0.247, 0.013, 0.489)
Te (0.248, 0.485, 0.491)
Te (0.485, 0.248, 0.991)
Te (0.515, 0.752, 0.009)
Te (0.752, 0.515, 0.509)
Te (0.753, 0.987, 0.511)
Te (0.987, 0.753, 0.011)

# K3Cd2Sn2Sb4
Theoretical powder XRD pattern, a wavelength of 1.5418 Å. Input: the GGA-PBE geometry in Alexandria.
Intensities are scaled so that the largest is 100.

Main lines, sorted by position (15 to 90 degrees two-theta):
2θ (°)	I_rel
19.4	37.1
20.3	43.6
25.1	36.1
28.2	62.0
35.6	100.0
40.8	33.5
50.3	45.7
59.5	24.1

Cell and atoms:
a b c (Å): 5.047 5.047 18.291
angles (deg): 90.00 90.00 120.00
Fractional coordinates of all 11 atoms:
K (0.000, 0.000, 0.000)
K (0.000, 0.000, 0.274)
K (0.000, 0.000, 0.726)
Cd (0.333, 0.667, 0.138)
Cd (0.667, 0.333, 0.862)
Sn (0.333, 0.667, 0.561)
Sn (0.667, 0.333, 0.439)
Sb (0.333, 0.667, 0.399)
Sb (0.333, 0.667, 0.861)
Sb (0.667, 0.333, 0.139)
Sb (0.667, 0.333, 0.601)